Entry 1:
Simulated powder diffractogram
Compound: La2Zn12Ru5
Radiation: λ = 1.5418 Å (Cu Kα)
Structure: DFT lattice parameters and positions (GGA-PBE)
Lines closer than 0.1° are merged.

Structural model:
a = 6.854 Å, b = 6.854 Å, c = 6.854 Å
α = 82.95°, β = 82.95°, γ = 82.95°
Atoms (fractional coordinates):
La (0.172, 0.172, 0.172)
La (0.828, 0.828, 0.828)
Zn (0.154, 0.154, 0.650)
Zn (0.154, 0.650, 0.154)
Zn (0.212, 0.500, 0.788)
Zn (0.212, 0.788, 0.500)
Zn (0.350, 0.846, 0.846)
Zn (0.500, 0.212, 0.788)
Zn (0.500, 0.788, 0.212)
Zn (0.650, 0.154, 0.154)
Zn (0.788, 0.212, 0.500)
Zn (0.788, 0.500, 0.212)
Zn (0.846, 0.350, 0.846)
Zn (0.846, 0.846, 0.350)
Ru (0.000, 0.500, 0.500)
Ru (0.404, 0.404, 0.404)
Ru (0.500, 0.000, 0.500)
Ru (0.500, 0.500, 0.000)
Ru (0.596, 0.596, 0.596)

Principal peaks in the range 10° ≤ 2θ ≤ 80°, sorted by position:
2θ 34.21, 2.621 Å, rel. 39
2θ 39.71, 2.270 Å, rel. 89
2θ 40.01, 2.254 Å, rel. 100
2θ 40.85, 2.209 Å, rel. 50
2θ 41.08, 2.197 Å, rel. 43
2θ 44.90, 2.019 Å, rel. 51

***

Entry 2:
Simulated powder diffractogram
Compound: La4S7
Radiation: λ = 1.5418 Å (Cu Kα)
Structure: DFT lattice parameters and positions (GGA-PBE)
Lines closer than 0.1° are merged.

Structural model:
a = 9.090 Å, b = 9.090 Å, c = 9.090 Å
α = 143.15°, β = 143.15°, γ = 53.11°
Atoms (fractional coordinates):
La (0.118, 0.118, 0.509)
La (0.391, 0.882, 0.000)
La (0.609, 0.609, 0.491)
La (0.882, 0.391, 0.000)
S (0.000, 0.500, 0.500)
S (0.061, 0.577, 0.000)
S (0.423, 0.423, 0.484)
S (0.500, 0.000, 0.500)
S (0.500, 0.500, 0.000)
S (0.577, 0.061, 0.000)
S (0.939, 0.939, 0.516)

Principal peaks in the range 10° ≤ 2θ ≤ 80°, sorted by position:
2θ 24.49, 3.635 Å, rel. 100
2θ 31.13, 2.873 Å, rel. 48
2θ 38.36, 2.346 Å, rel. 67
2θ 39.99, 2.255 Å, rel. 46
2θ 44.60, 2.032 Å, rel. 36
2θ 61.42, 1.509 Å, rel. 37

***

Entry 3:
Simulated powder diffractogram
Compound: La5S7
Radiation: λ = 1.5418 Å (Cu Kα)
Structure: DFT lattice parameters and positions (GGA-PBE)
Lines closer than 0.1° are merged.

Structural model:
a = 11.050 Å, b = 11.050 Å, c = 5.328 Å
α = 90.00°, β = 90.00°, γ = 90.39°
Atoms (fractional coordinates):
La (0.000, 0.500, 0.710)
La (0.155, 0.845, 0.000)
La (0.170, 0.170, 0.498)
La (0.333, 0.667, 0.507)
La (0.359, 0.359, 0.000)
La (0.500, 0.000, 0.710)
La (0.641, 0.641, 0.000)
La (0.667, 0.333, 0.507)
La (0.830, 0.830, 0.498)
La (0.845, 0.155, 0.000)
S (0.066, 0.731, 0.510)
S (0.119, 0.119, 0.000)
S (0.213, 0.584, 0.003)
S (0.226, 0.421, 0.507)
S (0.269, 0.934, 0.510)
S (0.416, 0.787, 0.003)
S (0.421, 0.226, 0.507)
S (0.579, 0.774, 0.507)
S (0.584, 0.213, 0.003)
S (0.731, 0.066, 0.510)
S (0.774, 0.579, 0.507)
S (0.787, 0.416, 0.003)
S (0.881, 0.881, 0.000)
S (0.934, 0.269, 0.510)

Principal peaks in the range 10° ≤ 2θ ≤ 80°, sorted by position:
2θ 24.58, 3.622 Å, rel. 100
2θ 25.44, 3.501 Å, rel. 32
2θ 25.55, 3.487 Å, rel. 37
2θ 37.50, 2.398 Å, rel. 51
2θ 37.62, 2.391 Å, rel. 36
2θ 47.40, 1.918 Å, rel. 35

***

Entry 4:
Simulated powder diffractogram
Compound: La4S5
Radiation: λ = 1.5418 Å (Cu Kα)
Structure: DFT lattice parameters and positions (GGA-PBE)
Lines closer than 0.1° are merged.

Structural model:
a = 8.487 Å, b = 8.487 Å, c = 8.487 Å
α = 154.33°, β = 119.37°, γ = 66.93°
Atoms (fractional coordinates):
La (0.088, 0.872, 0.215)
La (0.343, 0.128, 0.215)
La (0.657, 0.872, 0.785)
La (0.912, 0.128, 0.785)
S (0.000, 0.500, 0.500)
S (0.246, 0.746, 0.500)
S (0.351, 0.500, 0.851)
S (0.649, 0.500, 0.149)
S (0.754, 0.254, 0.500)

Principal peaks in the range 10° ≤ 2θ ≤ 80°, sorted by position:
2θ 20.73, 4.284 Å, rel. 81
2θ 24.43, 3.644 Å, rel. 48
2θ 30.34, 2.946 Å, rel. 95
2θ 32.25, 2.776 Å, rel. 82
2θ 32.82, 2.729 Å, rel. 100
2θ 37.03, 2.427 Å, rel. 57

***

Entry 5:
Simulated powder diffractogram
Compound: La3S4
Radiation: λ = 1.5418 Å (Cu Kα)
Structure: DFT lattice parameters and positions (GGA-PBE)
Lines closer than 0.1° are merged.

Structural model:
a = 7.569 Å, b = 7.569 Å, c = 7.569 Å
α = 109.47°, β = 109.47°, γ = 109.47°
Atoms (fractional coordinates):
La (0.125, 0.875, 0.250)
La (0.250, 0.125, 0.875)
La (0.375, 0.625, 0.750)
La (0.625, 0.750, 0.375)
La (0.750, 0.375, 0.625)
La (0.875, 0.250, 0.125)
S (0.000, 0.150, 0.500)
S (0.000, 0.650, 0.500)
S (0.150, 0.500, 0.000)
S (0.350, 0.350, 0.350)
S (0.500, 0.000, 0.150)
S (0.500, 0.000, 0.650)
S (0.650, 0.500, 0.000)
S (0.850, 0.850, 0.850)

Principal peaks in the range 10° ≤ 2θ ≤ 80°, sorted by position:
2θ 24.95, 3.568 Å, rel. 100
2θ 32.39, 2.764 Å, rel. 99
2θ 38.54, 2.336 Å, rel. 62
2θ 46.46, 1.954 Å, rel. 41
2θ 53.46, 1.714 Å, rel. 31
2θ 65.87, 1.418 Å, rel. 38

***

Entry 6:
Simulated powder diffractogram
Compound: La2S3
Radiation: λ = 1.5418 Å (Cu Kα)
Structure: DFT lattice parameters and positions (GGA-PBE)
Lines closer than 0.1° are merged.

Structural model:
a = 14.476 Å, b = 14.476 Å, c = 14.476 Å
α = 144.75°, β = 144.75°, γ = 50.71°
Atoms (fractional coordinates):
La (0.048, 0.429, 0.900)
La (0.165, 0.165, 0.000)
La (0.179, 0.298, 0.400)
La (0.221, 0.821, 0.118)
La (0.254, 0.125, 0.629)
La (0.375, 0.746, 0.871)
La (0.496, 0.625, 0.371)
La (0.529, 0.148, 0.100)
La (0.571, 0.471, 0.618)
La (0.585, 0.085, 0.500)
La (0.702, 0.102, 0.882)
La (0.835, 0.835, 0.000)
La (0.852, 0.952, 0.382)
La (0.875, 0.504, 0.129)
La (0.898, 0.779, 0.600)
La (0.915, 0.415, 0.500)
S (0.004, 0.110, 0.247)
S (0.072, 0.827, 0.609)
S (0.173, 0.783, 0.245)
S (0.184, 0.597, 0.748)
S (0.186, 0.099, 0.752)
S (0.212, 0.467, 0.891)
S (0.217, 0.462, 0.391)
S (0.243, 0.996, 0.106)
S (0.347, 0.434, 0.248)
S (0.403, 0.151, 0.586)
S (0.507, 0.112, 0.253)
S (0.533, 0.423, 0.745)
S (0.538, 0.928, 0.755)
S (0.564, 0.816, 0.414)
S (0.566, 0.814, 0.914)
S (0.577, 0.322, 0.109)
S (0.678, 0.788, 0.255)
S (0.746, 0.493, 0.606)
S (0.849, 0.436, 0.252)
S (0.860, 0.254, 0.747)
S (0.862, 0.757, 0.753)
S (0.888, 0.140, 0.394)
S (0.890, 0.138, 0.894)
S (0.901, 0.653, 0.086)

Principal peaks in the range 10° ≤ 2θ ≤ 80°, sorted by position:
2θ 24.93, 3.572 Å, rel. 100
2θ 32.30, 2.771 Å, rel. 77
2θ 32.45, 2.759 Å, rel. 32
2θ 38.45, 2.341 Å, rel. 43
2θ 46.35, 1.959 Å, rel. 28
2θ 48.82, 1.866 Å, rel. 27

***

Entry 7:
Simulated powder diffractogram
Compound: La3SbS2
Radiation: λ = 1.5418 Å (Cu Kα)
Structure: DFT lattice parameters and positions (GGA-PBE)
Lines closer than 0.1° are merged.

Structural model:
a = 7.485 Å, b = 7.485 Å, c = 7.485 Å
α = 146.52°, β = 131.41°, γ = 60.30°
Atoms (fractional coordinates):
La (0.000, 0.000, 0.000)
La (0.320, 0.320, 0.000)
La (0.680, 0.680, 0.000)
Sb (0.500, 0.000, 0.500)
S (0.164, 0.664, 0.500)
S (0.836, 0.336, 0.500)

Principal peaks in the range 10° ≤ 2θ ≤ 80°, sorted by position:
2θ 25.21, 3.533 Å, rel. 39
2θ 28.99, 3.080 Å, rel. 53
2θ 29.28, 3.050 Å, rel. 100
2θ 41.68, 2.167 Å, rel. 75
2θ 41.89, 2.157 Å, rel. 36
2θ 51.75, 1.767 Å, rel. 39

***

Entry 8:
Simulated powder diffractogram
Compound: La7SbS5
Radiation: λ = 1.5418 Å (Cu Kα)
Structure: DFT lattice parameters and positions (GGA-PBE)
Lines closer than 0.1° are merged.

Structural model:
a = 4.230 Å, b = 7.168 Å, c = 24.858 Å
α = 90.02°, β = 90.00°, γ = 107.10°
Atoms (fractional coordinates):
La (0.023, 0.046, 0.250)
La (0.136, 0.271, 0.536)
La (0.136, 0.272, 0.964)
La (0.322, 0.643, 0.173)
La (0.322, 0.643, 0.327)
La (0.407, 0.815, 0.610)
La (0.408, 0.815, 0.890)
La (0.592, 0.185, 0.110)
La (0.593, 0.185, 0.390)
La (0.678, 0.357, 0.673)
La (0.678, 0.357, 0.827)
La (0.864, 0.728, 0.036)
La (0.864, 0.729, 0.464)
La (0.977, 0.954, 0.750)
Sb (0.301, 0.601, 0.750)
Sb (0.699, 0.399, 0.250)
S (0.043, 0.086, 0.859)
S (0.044, 0.088, 0.641)
S (0.226, 0.452, 0.430)
S (0.227, 0.454, 0.070)
S (0.500, 0.000, 0.000)
S (0.500, 0.000, 0.500)
S (0.773, 0.546, 0.930)
S (0.774, 0.548, 0.570)
S (0.956, 0.912, 0.359)
S (0.957, 0.914, 0.141)

Principal peaks in the range 10° ≤ 2θ ≤ 80°, sorted by position:
2θ 26.29, 3.389 Å, rel. 58
2θ 28.31, 3.153 Å, rel. 98
2θ 29.67, 3.011 Å, rel. 100
2θ 30.76, 2.906 Å, rel. 65
2θ 42.73, 2.116 Å, rel. 56
2θ 52.07, 1.756 Å, rel. 36

***

Entry 9:
Simulated powder diffractogram
Compound: La2SbS6
Radiation: λ = 1.5418 Å (Cu Kα)
Structure: DFT lattice parameters and positions (GGA-PBE)
Lines closer than 0.1° are merged.

Structural model:
a = 5.893 Å, b = 7.707 Å, c = 10.997 Å
α = 90.00°, β = 121.05°, γ = 90.00°
Atoms (fractional coordinates):
La (0.196, 0.109, 0.261)
La (0.196, 0.391, 0.761)
La (0.804, 0.609, 0.239)
La (0.804, 0.891, 0.739)
Sb (0.500, 0.000, 0.000)
Sb (0.500, 0.500, 0.500)
S (0.100, 0.168, 0.958)
S (0.100, 0.332, 0.458)
S (0.294, 0.697, 0.961)
S (0.294, 0.803, 0.461)
S (0.324, 0.025, 0.741)
S (0.324, 0.475, 0.241)
S (0.676, 0.525, 0.759)
S (0.676, 0.975, 0.259)
S (0.706, 0.197, 0.539)
S (0.706, 0.303, 0.039)
S (0.900, 0.668, 0.542)
S (0.900, 0.832, 0.042)

Principal peaks in the range 10° ≤ 2θ ≤ 80°, sorted by position:
2θ 14.85, 5.966 Å, rel. 44
2θ 17.94, 4.943 Å, rel. 56
2θ 24.96, 3.567 Å, rel. 47
2θ 26.60, 3.352 Å, rel. 44
2θ 33.73, 2.657 Å, rel. 51
2θ 38.22, 2.355 Å, rel. 100

***

Entry 10:
Simulated powder diffractogram
Compound: La6Sb3Se2S
Radiation: λ = 1.5418 Å (Cu Kα)
Structure: DFT lattice parameters and positions (GGA-PBE)
Lines closer than 0.1° are merged.

Structural model:
a = 9.945 Å, b = 9.945 Å, c = 8.877 Å
α = 102.60°, β = 102.60°, γ = 25.94°
Atoms (fractional coordinates):
La (0.001, 0.001, 0.236)
La (0.331, 0.331, 0.422)
La (0.340, 0.340, 0.913)
La (0.660, 0.660, 0.087)
La (0.669, 0.669, 0.578)
La (0.999, 0.999, 0.764)
Sb (0.168, 0.168, 0.835)
Sb (0.500, 0.500, 0.500)
Sb (0.832, 0.832, 0.165)
Se (0.166, 0.166, 0.334)
Se (0.834, 0.834, 0.666)
S (0.500, 0.500, 0.000)

Principal peaks in the range 10° ≤ 2θ ≤ 80°, sorted by position:
2θ 28.35, 3.148 Å, rel. 100
2θ 40.43, 2.231 Å, rel. 38
2θ 40.62, 2.221 Å, rel. 37
2θ 50.12, 1.820 Å, rel. 20
2θ 66.28, 1.410 Å, rel. 17
2θ 66.54, 1.405 Å, rel. 16

***

Entry 11:
Simulated powder diffractogram
Compound: La4Sb2TeS
Radiation: λ = 1.5418 Å (Cu Kα)
Structure: DFT lattice parameters and positions (GGA-PBE)
Lines closer than 0.1° are merged.

Structural model:
a = 9.021 Å, b = 9.021 Å, c = 9.021 Å
α = 120.03°, β = 119.96°, γ = 90.01°
Atoms (fractional coordinates):
La (0.246, 0.242, 0.004)
La (0.252, 0.239, 0.487)
La (0.252, 0.765, 0.013)
La (0.261, 0.758, 0.504)
La (0.739, 0.242, 0.496)
La (0.748, 0.235, 0.987)
La (0.748, 0.761, 0.513)
La (0.754, 0.758, 0.996)
Sb (0.000, 0.500, 0.500)
Sb (0.500, 0.000, 0.000)
Sb (0.500, 0.500, 0.000)
Sb (0.500, 0.500, 0.500)
Te (0.000, 0.000, 0.500)
Te (0.000, 0.500, 0.000)
S (0.000, 0.000, 0.000)
S (0.500, 0.000, 0.500)

Principal peaks in the range 10° ≤ 2θ ≤ 80°, sorted by position:
2θ 27.97, 3.190 Å, rel. 100
2θ 39.97, 2.255 Å, rel. 75
2θ 49.50, 1.842 Å, rel. 27
2θ 57.81, 1.595 Å, rel. 12
2θ 65.43, 1.426 Å, rel. 34
2θ 72.60, 1.302 Å, rel. 25